This entry pairs a crystal structure of Ba9Nb10O30 with its simulated powder X-ray diffraction pattern. Radiation: λ = 1.5418 Å (Cu Kα). Structure: the GGA-PBE geometry in Alexandria.
No peak broadening, texture or thermal motion is included.

Peak list (10 most intense, 2θ = 10–90°, sorted by position)
2θ 10.70, I 1, hkl 0 0 1; 2θ 30.57, I 100, hkl 3 1 1; 2θ 37.68, I 5, hkl 3 1 3; 2θ 43.79, I 32, hkl 2 4 2; 2θ 54.35, I 39, hkl 5 0 3; 2θ 63.65, I 20, hkl 6 2 2; 2θ 72.25, I 17, hkl 5 5 3; 2θ 76.39, I 1, hkl 3 1 7; 2θ 80.46, I 6, hkl 6 2 6; 2θ 88.47, I 21, hkl 5 5 7

Structure:
Cell: 9.2441 9.2471 9.2476 Å, 66.42 78.47 89.99°
Atoms (fractional coordinates):
Ba (0.0000, 0.0000, 0.0000)
Ba (0.1056, 0.1975, 0.4999)
Ba (0.1999, 0.3989, 0.9999)
Ba (0.3026, 0.6054, 0.4994)
Ba (0.4017, 0.8019, 0.9939)
Ba (0.5983, 0.1981, 0.0061)
Ba (0.6974, 0.3946, 0.5006)
Ba (0.8001, 0.6011, 0.0001)
Ba (0.8944, 0.8025, 0.5001)
Nb (0.0503, 0.6000, 0.2499)
Nb (0.1540, 0.8030, 0.7462)
Nb (0.2526, 0.0003, 0.2524)
Nb (0.3524, 0.1979, 0.7473)
Nb (0.4511, 0.3961, 0.2526)
Nb (0.5489, 0.6039, 0.7474)
Nb (0.6476, 0.8021, 0.2527)
Nb (0.7474, 0.9997, 0.7476)
Nb (0.8460, 0.1970, 0.2538)
Nb (0.9497, 0.4000, 0.7501)
O (0.0000, 0.5000, 0.5000)
O (0.0498, 0.0998, 0.2502)
O (0.0499, 0.6002, 0.7496)
O (0.1002, 0.7002, 0.9999)
O (0.1499, 0.3002, 0.7499)
O (0.1498, 0.8000, 0.2501)
O (0.1953, 0.8989, 0.4997)
O (0.2466, 0.0003, 0.7533)
O (0.2499, 0.5001, 0.2500)
O (0.3001, 0.1001, 0.9999)
O (0.3475, 0.6955, 0.7535)
O (0.3477, 0.2033, 0.2462)
O (0.3989, 0.3052, 0.5000)
O (0.4490, 0.8986, 0.2460)
O (0.4500, 0.4000, 0.7500)
O (0.5000, 0.5000, 0.0000)
O (0.5500, 0.6000, 0.2500)
O (0.5510, 0.1014, 0.7540)
O (0.6011, 0.6948, 0.5000)
O (0.6523, 0.7967, 0.7538)
O (0.6525, 0.3045, 0.2465)
O (0.6999, 0.8999, 0.0001)
O (0.7501, 0.4999, 0.7500)
O (0.7534, 0.9997, 0.2467)
O (0.8047, 0.1011, 0.5003)
O (0.8502, 0.2000, 0.7499)
O (0.8501, 0.6998, 0.2501)
O (0.8998, 0.2998, 0.0001)
O (0.9501, 0.3998, 0.2504)
O (0.9502, 0.9002, 0.7498)



This entry pairs a crystal structure of Ba2Nb5O9 with its simulated powder X-ray diffraction pattern. Radiation: λ = 1.5418 Å (Cu Kα). Structure: the GGA-PBE geometry in Alexandria.
No peak broadening, texture or thermal motion is included.

Peak list (10 most intense, 2θ = 10–90°, sorted by position)
2θ 29.89, I 17, hkl 1 1 0; 2θ 30.24, I 100, hkl 1 0 3; 2θ 30.76, I 34, hkl 1 1 1; 2θ 33.27, I 27, hkl 1 1 2; 2θ 41.99, I 17, hkl 1 1 4; 2θ 42.78, I 52, hkl 2 0 0; 2θ 43.81, I 24, hkl 0 0 6; 2θ 53.28, I 40, hkl 2 1 3; 2θ 62.09, I 16, hkl 2 2 0; 2θ 62.89, I 31, hkl 2 0 6

Structure:
Cell: 4.2279 4.2279 12.3998 Å, 90.00 90.00 90.00°
Atoms (fractional coordinates):
Ba (0.0000, 0.0000, 0.1676)
Ba (0.0000, 0.0000, 0.8324)
Nb (0.0000, 0.5000, 0.5000)
Nb (0.5000, 0.0000, 0.5000)
Nb (0.5000, 0.5000, 0.0000)
Nb (0.5000, 0.5000, 0.3371)
Nb (0.5000, 0.5000, 0.6629)
O (0.0000, 0.0000, 0.5000)
O (0.0000, 0.5000, 0.0000)
O (0.0000, 0.5000, 0.3277)
O (0.0000, 0.5000, 0.6723)
O (0.5000, 0.0000, 0.0000)
O (0.5000, 0.0000, 0.3277)
O (0.5000, 0.0000, 0.6723)
O (0.5000, 0.5000, 0.1613)
O (0.5000, 0.5000, 0.8387)



This entry pairs a crystal structure of Ba3NbPd2O9 with its simulated powder X-ray diffraction pattern. Radiation: λ = 1.5418 Å (Cu Kα). Structure: the GGA-PBE geometry in Alexandria.
No peak broadening, texture or thermal motion is included.

Peak list (10 most intense, 2θ = 10–90°, sorted by position)
2θ 30.63, I 100, hkl 1 1 0; 2θ 43.87, I 30, hkl 2 0 2; 2θ 54.36, I 10, hkl 1 0 4; 2θ 54.48, I 30, hkl 3 0 0; 2θ 63.71, I 9, hkl 0 2 4; 2θ 63.84, I 9, hkl 2 2 0; 2θ 72.40, I 17, hkl 3 1 2; 2θ 80.69, I 5, hkl 0 4 2; 2θ 88.70, I 10, hkl 2 3 2; 2θ 88.77, I 5, hkl 4 1 0

Structure:
Cell: 5.8321 5.8321 7.1623 Å, 90.00 90.00 120.00°
Atoms (fractional coordinates):
Ba (0.0000, 0.0000, 0.0000)
Ba (0.3333, 0.6667, 0.6839)
Ba (0.6667, 0.3333, 0.3161)
Nb (0.0000, 0.0000, 0.5000)
Pd (0.3333, 0.6667, 0.1708)
Pd (0.6667, 0.3333, 0.8292)
O (0.0000, 0.5000, 0.0000)
O (0.1631, 0.3262, 0.3385)
O (0.1631, 0.8369, 0.3385)
O (0.3262, 0.1631, 0.6615)
O (0.5000, 0.0000, 0.0000)
O (0.5000, 0.5000, 0.0000)
O (0.6738, 0.8369, 0.3385)
O (0.8369, 0.1631, 0.6615)
O (0.8369, 0.6738, 0.6615)



This entry pairs a crystal structure of Ba3PrNb2O9 with its simulated powder X-ray diffraction pattern. Radiation: λ = 1.5418 Å (Cu Kα). Structure: the GGA-PBE geometry in Alexandria.
No peak broadening, texture or thermal motion is included.

Peak list (10 most intense, 2θ = 10–90°, sorted by position)
2θ 29.14, I 100, hkl 0 1 2; 2θ 29.52, I 97, hkl 1 1 0; 2θ 41.96, I 60, hkl 2 0 2; 2θ 51.42, I 19, hkl 1 0 4; 2θ 52.13, I 39, hkl 1 2 2; 2θ 52.37, I 19, hkl 3 0 0; 2θ 60.41, I 17, hkl 0 2 4; 2θ 61.27, I 19, hkl 2 2 0; 2θ 68.66, I 16, hkl 2 1 4; 2θ 69.26, I 17, hkl 3 1 2

Structure:
Cell: 6.0520 6.0520 7.5551 Å, 90.00 90.00 120.00°
Atoms (fractional coordinates):
Ba (0.0000, 0.0000, 0.0000)
Ba (0.3333, 0.6667, 0.6871)
Ba (0.6667, 0.3333, 0.3129)
Pr (0.0000, 0.0000, 0.5000)
Nb (0.3333, 0.6667, 0.1610)
Nb (0.6667, 0.3333, 0.8390)
O (0.0000, 0.5000, 0.0000)
O (0.1768, 0.3536, 0.3095)
O (0.1768, 0.8232, 0.3095)
O (0.3536, 0.1768, 0.6905)
O (0.5000, 0.0000, 0.0000)
O (0.5000, 0.5000, 0.0000)
O (0.6464, 0.8232, 0.3095)
O (0.8232, 0.1768, 0.6905)
O (0.8232, 0.6464, 0.6905)



Repeat the third record exactly.
This entry pairs a crystal structure of Ba3NbPd2O9 with its simulated powder X-ray diffraction pattern. Radiation: λ = 1.5418 Å (Cu Kα). Structure: the GGA-PBE geometry in Alexandria.
No peak broadening, texture or thermal motion is included.

Peak list (10 most intense, 2θ = 10–90°, sorted by position)
2θ 30.63, I 100, hkl 1 1 0; 2θ 43.87, I 30, hkl 2 0 2; 2θ 54.36, I 10, hkl 1 0 4; 2θ 54.48, I 30, hkl 3 0 0; 2θ 63.71, I 9, hkl 0 2 4; 2θ 63.84, I 9, hkl 2 2 0; 2θ 72.40, I 17, hkl 3 1 2; 2θ 80.69, I 5, hkl 0 4 2; 2θ 88.70, I 10, hkl 2 3 2; 2θ 88.77, I 5, hkl 4 1 0

Structure:
Cell: 5.8321 5.8321 7.1623 Å, 90.00 90.00 120.00°
Atoms (fractional coordinates):
Ba (0.0000, 0.0000, 0.0000)
Ba (0.3333, 0.6667, 0.6839)
Ba (0.6667, 0.3333, 0.3161)
Nb (0.0000, 0.0000, 0.5000)
Pd (0.3333, 0.6667, 0.1708)
Pd (0.6667, 0.3333, 0.8292)
O (0.0000, 0.5000, 0.0000)
O (0.1631, 0.3262, 0.3385)
O (0.1631, 0.8369, 0.3385)
O (0.3262, 0.1631, 0.6615)
O (0.5000, 0.0000, 0.0000)
O (0.5000, 0.5000, 0.0000)
O (0.6738, 0.8369, 0.3385)
O (0.8369, 0.1631, 0.6615)
O (0.8369, 0.6738, 0.6615)



Copy entry 1 word for word.
This entry pairs a crystal structure of Ba9Nb10O30 with its simulated powder X-ray diffraction pattern. Radiation: λ = 1.5418 Å (Cu Kα). Structure: the GGA-PBE geometry in Alexandria.
No peak broadening, texture or thermal motion is included.

Peak list (10 most intense, 2θ = 10–90°, sorted by position)
2θ 10.70, I 1, hkl 0 0 1; 2θ 30.57, I 100, hkl 3 1 1; 2θ 37.68, I 5, hkl 3 1 3; 2θ 43.79, I 32, hkl 2 4 2; 2θ 54.35, I 39, hkl 5 0 3; 2θ 63.65, I 20, hkl 6 2 2; 2θ 72.25, I 17, hkl 5 5 3; 2θ 76.39, I 1, hkl 3 1 7; 2θ 80.46, I 6, hkl 6 2 6; 2θ 88.47, I 21, hkl 5 5 7

Structure:
Cell: 9.2441 9.2471 9.2476 Å, 66.42 78.47 89.99°
Atoms (fractional coordinates):
Ba (0.0000, 0.0000, 0.0000)
Ba (0.1056, 0.1975, 0.4999)
Ba (0.1999, 0.3989, 0.9999)
Ba (0.3026, 0.6054, 0.4994)
Ba (0.4017, 0.8019, 0.9939)
Ba (0.5983, 0.1981, 0.0061)
Ba (0.6974, 0.3946, 0.5006)
Ba (0.8001, 0.6011, 0.0001)
Ba (0.8944, 0.8025, 0.5001)
Nb (0.0503, 0.6000, 0.2499)
Nb (0.1540, 0.8030, 0.7462)
Nb (0.2526, 0.0003, 0.2524)
Nb (0.3524, 0.1979, 0.7473)
Nb (0.4511, 0.3961, 0.2526)
Nb (0.5489, 0.6039, 0.7474)
Nb (0.6476, 0.8021, 0.2527)
Nb (0.7474, 0.9997, 0.7476)
Nb (0.8460, 0.1970, 0.2538)
Nb (0.9497, 0.4000, 0.7501)
O (0.0000, 0.5000, 0.5000)
O (0.0498, 0.0998, 0.2502)
O (0.0499, 0.6002, 0.7496)
O (0.1002, 0.7002, 0.9999)
O (0.1499, 0.3002, 0.7499)
O (0.1498, 0.8000, 0.2501)
O (0.1953, 0.8989, 0.4997)
O (0.2466, 0.0003, 0.7533)
O (0.2499, 0.5001, 0.2500)
O (0.3001, 0.1001, 0.9999)
O (0.3475, 0.6955, 0.7535)
O (0.3477, 0.2033, 0.2462)
O (0.3989, 0.3052, 0.5000)
O (0.4490, 0.8986, 0.2460)
O (0.4500, 0.4000, 0.7500)
O (0.5000, 0.5000, 0.0000)
O (0.5500, 0.6000, 0.2500)
O (0.5510, 0.1014, 0.7540)
O (0.6011, 0.6948, 0.5000)
O (0.6523, 0.7967, 0.7538)
O (0.6525, 0.3045, 0.2465)
O (0.6999, 0.8999, 0.0001)
O (0.7501, 0.4999, 0.7500)
O (0.7534, 0.9997, 0.2467)
O (0.8047, 0.1011, 0.5003)
O (0.8502, 0.2000, 0.7499)
O (0.8501, 0.6998, 0.2501)
O (0.8998, 0.2998, 0.0001)
O (0.9501, 0.3998, 0.2504)
O (0.9502, 0.9002, 0.7498)